# Na5Y4Si4O16F
Calculated powder diffractogram, CuKα. Input: a crystal structure in Alexandria, relaxed with PBE.
Lines closer than 0.1° are merged.

Crystal structure
Cell: 11.6930 11.6930 5.4579 Å, 90.00 90.00 90.00°
Space group I-4 (No. 82)
Symmetry-distinct sites (fractional):
1 Na 0.0000 0.0000 0.0000 (multiplicity 2)
2 Na 0.0893 0.3947 0.5111 (multiplicity 8)
3 Y 0.1153 0.8175 0.5236 (multiplicity 8)
4 Si 0.1039 0.2473 0.0118 (multiplicity 8)
5 O 0.0343 0.2077 0.2599 (multiplicity 8)
6 O 0.0490 0.1851 0.7691 (multiplicity 8)
7 O 0.1096 0.3872 0.9818 (multiplicity 8)
8 O 0.2045 0.7638 0.9314 (multiplicity 8)
9 F 0.0000 0.0000 0.5000 (multiplicity 2)

Largest 6 diffraction maxima, low angle first, 2θ from 5° to 70°:
| 2θ (°) | Rel. int. | (hkl) |
| --- | --- | --- |
| 10.7 | 56 | 1 1 0 |
| 17.9 | 76 | 1 0 1 |
| 23.6 | 58 | 1 2 1 |
| 32.1 | 100 | 2 3 1 |
| 32.8 | 67 | 0 0 2 |
| 35.7 | 78 | 1 4 1 |

=====

# Cs2TlZnAs2
Calculated powder diffractogram, CuKα. Input: a crystal structure in Alexandria, relaxed with PBE.
Lines closer than 0.1° are merged.

Crystal structure
Cell: 6.9978 16.8686 6.8610 Å, 90.00 90.00 90.00°
Space group Ibam (No. 72)
Symmetry-distinct sites (fractional):
1 Cs 0.2450 0.1702 0.0000 (multiplicity 8)
2 Tl 0.0000 0.0000 0.2500 (multiplicity 4)
3 Zn 0.0000 0.5000 0.2500 (multiplicity 4)
4 As 0.2091 0.4149 0.0000 (multiplicity 8)

Largest 6 diffraction maxima, low angle first, 2θ from 5° to 70°:
| 2θ (°) | Rel. int. | (hkl) |
| --- | --- | --- |
| 10.5 | 74 | 0 2 0 |
| 27.6 | 46 | 2 2 0 |
| 27.9 | 100 | 1 4 1 |
| 33.3 | 49 | 2 4 0 |
| 33.7 | 50 | 0 4 2 |
| 36.7 | 81 | 2 0 2 |

=====

# LiGa2S4
Calculated powder diffractogram, CuKα. Input: a crystal structure in Alexandria, relaxed with PBE.
Lines closer than 0.1° are merged.

Crystal structure
Cell: 5.0386 5.0386 6.2067 Å, 90.00 90.00 90.00°
Space group P-42m (No. 111)
Symmetry-distinct sites (fractional):
1 Li 0.0000 0.0000 0.0000 (multiplicity 1)
2 Ga 0.0000 0.5000 0.5000 (multiplicity 2)
3 S 0.2583 0.2583 0.2679 (multiplicity 4)

Largest 6 diffraction maxima, low angle first, 2θ from 5° to 70°:
| 2θ (°) | Rel. int. | (hkl) |
| --- | --- | --- |
| 14.3 | 81 | 0 0 1 |
| 25.0 | 35 | 1 1 0 |
| 28.9 | 100 | 1 1 1 |
| 38.5 | 42 | 1 1 2 |
| 46.4 | 49 | 2 0 2 |
| 59.9 | 23 | 3 1 1 |

=====

# PmPr8Y2
Calculated powder diffractogram, CuKα. Input: a crystal structure in Alexandria, relaxed with PBE.
Lines closer than 0.1° are merged.

Crystal structure
Cell: 18.7657 5.2168 8.2414 Å, 90.00 105.31 90.00°
Space group C2/m (No. 12)
Symmetry-distinct sites (fractional):
1 Pm 0.0000 0.0000 0.0000 (multiplicity 2)
2 Pr 0.0463 0.5000 0.7278 (multiplicity 4)
3 Pr 0.0917 0.0000 0.4546 (multiplicity 4)
4 Pr 0.1372 0.5000 0.1846 (multiplicity 4)
5 Pr 0.1821 0.0000 0.9103 (multiplicity 4)
6 Y 0.2271 0.5000 0.6346 (multiplicity 4)

Largest 6 diffraction maxima, low angle first, 2θ from 5° to 70°:
| 2θ (°) | Rel. int. | (hkl) |
| --- | --- | --- |
| 29.7 | 100 | 1 1 2 |
| 34.4 | 51 | 6 0 1 |
| 49.5 | 36 | 6 2 1 |
| 58.7 | 29 | 1 3 2 |
| 58.8 | 14 | 11 1 0 |
| 61.7 | 12 | 2 2 4 |

=====

# NaSr16Li12
Calculated powder diffractogram, CuKα. Input: a crystal structure in Alexandria, relaxed with PBE.
Lines closer than 0.1° are merged.

Crystal structure
Cell: 13.3630 17.9829 11.3201 Å, 90.00 119.26 90.00°
Space group Cm (No. 8)
Symmetry-distinct sites (fractional):
1 Na 0.0000 0.0000 0.0000 (multiplicity 2)
2 Sr 0.0080 0.0000 0.3810 (multiplicity 2)
3 Sr 0.0962 0.1975 0.0391 (multiplicity 4)
4 Sr 0.1675 0.5000 0.3016 (multiplicity 2)
5 Sr 0.2783 0.3834 0.6841 (multiplicity 4)
6 Sr 0.2926 0.0000 0.0514 (multiplicity 2)
7 Sr 0.2952 0.3762 0.0479 (multiplicity 4)
8 Sr 0.3120 0.0000 0.6956 (multiplicity 2)
9 Sr 0.3169 0.3090 0.3872 (multiplicity 4)
10 Sr 0.4780 0.1774 0.2734 (multiplicity 4)
11 Sr 0.4925 0.1858 0.6905 (multiplicity 4)
12 Li 0.0162 0.4051 0.9949 (multiplicity 4)
13 Li 0.0609 0.0924 0.7125 (multiplicity 4)
14 Li 0.1061 0.5000 0.8024 (multiplicity 2)
15 Li 0.1568 0.1858 0.5372 (multiplicity 4)
16 Li 0.2532 0.0935 0.3595 (multiplicity 4)
17 Li 0.2914 0.1939 0.8669 (multiplicity 4)
18 Li 0.4876 0.0000 0.4838 (multiplicity 2)

Largest 6 diffraction maxima, low angle first, 2θ from 5° to 70°:
| 2θ (°) | Rel. int. | (hkl) |
| --- | --- | --- |
| 16.6 | 58 | 2 2 -1 |
| 27.1 | 48 | 0 0 3 |
| 27.4 | 99 | 3 3 0 |
| 28.7 | 52 | 1 5 1 |
| 29.4 | 100 | 4 0 -3 |
| 29.6 | 37 | 3 3 -3 |

=====

# Na3ReI2F6
Calculated powder diffractogram, CuKα. Input: a crystal structure in Alexandria, relaxed with PBE.
Lines closer than 0.1° are merged.

Crystal structure
Cell: 14.5383 6.7959 5.5020 Å, 90.00 90.13 90.00°
Space group C2/m (No. 12)
Symmetry-distinct sites (fractional):
1 Na 0.0000 0.0000 0.0000 (multiplicity 2)
2 Na 0.2500 0.2500 0.5000 (multiplicity 4)
3 Re 0.0000 0.5000 0.5000 (multiplicity 2)
4 I 0.2155 0.0000 0.9997 (multiplicity 4)
5 F 0.0002 0.2917 0.2590 (multiplicity 8)
6 F 0.1378 0.5000 0.5005 (multiplicity 4)

Largest 6 diffraction maxima, low angle first, 2θ from 5° to 70°:
| 2θ (°) | Rel. int. | (hkl) |
| --- | --- | --- |
| 20.2 | 78 | 2 0 1 |
| 21.7 | 100 | 1 1 1 |
| 22.5 | 47 | 3 1 0 |
| 24.5 | 48 | 4 0 0 |
| 33.4 | 72 | 2 2 -1 |
| 37.4 | 50 | 5 1 1 |

=====

# Ba2NaAg3As4
Calculated powder diffractogram, CuKα. Input: a crystal structure in Alexandria, relaxed with PBE.
Lines closer than 0.1° are merged.

Crystal structure
Cell: 4.7081 4.7081 11.1730 Å, 90.00 90.00 90.00°
Space group P-4m2 (No. 115)
Symmetry-distinct sites (fractional):
1 Ba 0.0000 0.5000 0.2445 (multiplicity 2)
2 Na 0.0000 0.0000 0.5000 (multiplicity 1)
3 Ag 0.0000 0.5000 0.8799 (multiplicity 2)
4 Ag 0.5000 0.5000 0.5000 (multiplicity 1)
5 As 0.0000 0.0000 0.0000 (multiplicity 1)
6 As 0.0000 0.5000 0.6436 (multiplicity 2)
7 As 0.5000 0.5000 0.0000 (multiplicity 1)

Largest 6 diffraction maxima, low angle first, 2θ from 5° to 70°:
| 2θ (°) | Rel. int. | (hkl) |
| --- | --- | --- |
| 26.8 | 28 | 1 1 0 |
| 30.6 | 82 | 1 0 3 |
| 31.3 | 100 | 1 1 2 |
| 38.2 | 76 | 2 0 0 |
| 44.9 | 33 | 1 0 5 |
| 49.7 | 41 | 2 1 3 |

=====

# CaAlAu11
Calculated powder diffractogram, CuKα. Input: a crystal structure in Alexandria, relaxed with PBE.
Lines closer than 0.1° are merged.

Crystal structure
Cell: 5.5610 13.4246 7.1582 Å, 90.00 110.00 90.00°
Space group C2/m (No. 12)
Symmetry-distinct sites (fractional):
1 Ca 0.0000 0.0000 0.0000 (multiplicity 2)
2 Al 0.0000 0.5000 0.5000 (multiplicity 2)
3 Au 0.0000 0.0000 0.5000 (multiplicity 2)
4 Au 0.0848 0.3948 0.2206 (multiplicity 8)
5 Au 0.1666 0.1705 0.3499 (multiplicity 8)
6 Au 0.2500 0.2500 0.0000 (multiplicity 4)

Largest 6 diffraction maxima, low angle first, 2θ from 5° to 70°:
| 2θ (°) | Rel. int. | (hkl) |
| --- | --- | --- |
| 37.0 | 97 | 1 1 2 |
| 37.7 | 55 | 1 5 0 |
| 37.9 | 100 | 0 4 2 |
| 41.1 | 39 | 2 0 1 |
| 42.2 | 78 | 2 4 -1 |
| 42.5 | 77 | 0 6 1 |

=====

# BeRe2Tc
Calculated powder diffractogram, CuKα. Input: a crystal structure in Alexandria, relaxed with PBE.
Lines closer than 0.1° are merged.

Crystal structure
Cell: 2.7365 2.7365 25.3794 Å, 90.00 90.00 120.00°
Space group R-3m (No. 166, hexagonal axes)
Symmetry-distinct sites (fractional):
1 Be 0.0000 0.0000 0.0000 (multiplicity 3)
2 Re 0.0000 0.0000 0.2544 (multiplicity 6)
3 Tc 0.0000 0.0000 0.5000 (multiplicity 3)

Largest 6 diffraction maxima, low angle first, 2θ from 5° to 70°:
| 2θ (°) | Rel. int. | (hkl) |
| --- | --- | --- |
| 21.0 | 51 | 0 0 6 |
| 38.6 | 35 | 0 1 2 |
| 40.6 | 100 | 1 0 4 |
| 42.8 | 27 | 0 0 12 |
| 47.9 | 61 | 0 1 8 |
| 68.6 | 22 | 1 1 0 |